Entry 1:
Starting from the PBE geometry in Alexandria, the powder diffraction line list of NdZn7 was calculated for Cu Kα.

Most intense lines, 10° ≤ 2θ ≤ 90°, low angle first:
- 31.1°, I = 29, hkl 1 1 1
- 34.7°, I = 100, hkl 2 2 -1
- 35.2°, I = 47, hkl 2 0 1
- 35.4°, I = 47, hkl 4 0 -1
- 44.2°, I = 26, hkl 1 3 -1
- 44.3°, I = 46, hkl 2 0 -2
- 45.1°, I = 68, hkl 4 2 0
- 65.0°, I = 29, hkl 2 2 2

Structural model:
Cell: 10.557 7.107 4.089 Å, 90.00 112.55 90.00°
Space group C2/m (No. 12)
Inequivalent atoms, fractional coordinates:
Nd (0.000, 0.000, 0.000)
Zn (0.000, 0.500, 0.000)
Zn (0.138, 0.316, 0.639)
Zn (0.246, 0.000, 0.746)

Entry 2:
Starting from the PBE geometry in Alexandria, the powder diffraction line list of NdZrZn17 was calculated for Cu Kα.

Most intense lines, 10° ≤ 2θ ≤ 90°, low angle first:
- 34.8°, I = 37, hkl 3 0 0
- 35.9°, I = 25, hkl 0 2 4
- 40.4°, I = 57, hkl 2 2 0
- 40.6°, I = 100, hkl 0 3 3
- 41.3°, I = 44, hkl 0 0 6
- 41.6°, I = 24, hkl 2 0 5
- 45.6°, I = 42, hkl 2 2 3
- 74.9°, I = 22, hkl 0 3 9

Structural model:
Cell: 8.9390 8.9390 13.1049 Å, 90.00 90.00 120.00°
Space group R3m (No. 160, hexagonal axes)
Inequivalent atoms, fractional coordinates:
Nd (0.0000, 0.0000, 0.0000)
Zr (0.0000, 0.0000, 0.6663)
Zn (0.0000, 0.0000, 0.2411)
Zn (0.0000, 0.0000, 0.4405)
Zn (0.0022, 0.5011, 0.1853)
Zn (0.0038, 0.2998, 0.3351)
Zn (0.0089, 0.5044, 0.8332)
Zn (0.0233, 0.5117, 0.4870)

Entry 3:
Starting from the PBE geometry in Alexandria, the powder diffraction line list of NdZr4 was calculated for Cu Kα.

Most intense lines, 10° ≤ 2θ ≤ 90°, low angle first:
- 17.1°, I = 45, hkl 1 0 0
- 24.2°, I = 39, hkl 1 1 0
- 29.8°, I = 39, hkl 1 1 1
- 34.6°, I = 100, hkl 2 0 0
- 38.8°, I = 23, hkl 2 1 0
- 49.7°, I = 70, hkl 2 2 0
- 61.9°, I = 24, hkl 2 2 2
- 83.2°, I = 30, hkl 4 2 0

Structural model:
Cell: 5.191 5.191 5.191 Å, 90.00 90.00 90.00°
Space group Pm-3m (No. 221)
Inequivalent atoms, fractional coordinates:
Nd (0.000, 0.000, 0.000)
Zr (0.000, 0.000, 0.500)
Zr (0.500, 0.500, 0.500)

What did the second record say?
Starting from the PBE geometry in Alexandria, the powder diffraction line list of NdZrZn17 was calculated for Cu Kα.

Most intense lines, 10° ≤ 2θ ≤ 90°, low angle first:
- 34.8°, I = 37, hkl 3 0 0
- 35.9°, I = 25, hkl 0 2 4
- 40.4°, I = 57, hkl 2 2 0
- 40.6°, I = 100, hkl 0 3 3
- 41.3°, I = 44, hkl 0 0 6
- 41.6°, I = 24, hkl 2 0 5
- 45.6°, I = 42, hkl 2 2 3
- 74.9°, I = 22, hkl 0 3 9

Structural model:
Cell: 8.9390 8.9390 13.1049 Å, 90.00 90.00 120.00°
Space group R3m (No. 160, hexagonal axes)
Inequivalent atoms, fractional coordinates:
Nd (0.0000, 0.0000, 0.0000)
Zr (0.0000, 0.0000, 0.6663)
Zn (0.0000, 0.0000, 0.2411)
Zn (0.0000, 0.0000, 0.4405)
Zn (0.0022, 0.5011, 0.1853)
Zn (0.0038, 0.2998, 0.3351)
Zn (0.0089, 0.5044, 0.8332)
Zn (0.0233, 0.5117, 0.4870)